1.
Theoretical powder diffractogram
Compound: ReH8I6N2
Radiation: Cu Ka
Structure: a DFT-relaxed cell (PBE, Alexandria)
No peak broadening, texture or thermal motion is included.

```
ReH8I6N2
1.0
8.0143 0.0000 0.0000
0.0000 8.0143 0.0000
0.0000 0.0000 12.1254
Re H I N
2 16 12 4
Cartesian
0.0000 0.0000 0.0000
4.0072 4.0072 6.0627
0.0128 3.1660 2.4284
0.0128 3.1660 9.6969
0.8412 3.9944 3.6342
0.8412 3.9944 8.4911
3.1660 8.0015 2.4284
3.1660 8.0015 9.6969
3.9944 7.1731 3.6342
3.9944 7.1731 8.4911
4.0199 0.8412 3.6342
4.0199 0.8412 8.4911
4.8483 0.0128 2.4284
4.8483 0.0128 9.6969
7.1731 4.0199 3.6342
7.1731 4.0199 8.4911
8.0015 4.8483 2.4284
8.0015 4.8483 9.6969
0.0000 0.0000 2.7575
0.0000 0.0000 9.3678
1.4777 2.3169 0.0000
1.6903 2.5294 6.0627
2.3169 6.5366 0.0000
2.5294 6.3240 6.0627
4.0072 4.0072 3.3051
4.0072 4.0072 8.8202
5.4849 1.6903 6.0627
5.6974 1.4777 0.0000
6.3240 5.4849 6.0627
6.5366 5.6974 0.0000
0.0000 4.0072 3.0313
0.0000 4.0072 9.0940
4.0072 0.0000 3.0313
4.0072 0.0000 9.0940
```

Largest 10 diffraction maxima, low angle first, 10 to 90 degrees two-theta:
- 13.24 deg, rel. 100
- 14.61 deg, rel. 48
- 15.64 deg, rel. 60
- 26.67 deg, rel. 70
- 28.94 deg, rel. 39
- 29.47 deg, rel. 49
- 31.58 deg, rel. 56
- 35.42 deg, rel. 39
- 43.73 deg, rel. 40
- 46.72 deg, rel. 47

---

2.
Theoretical powder diffractogram
Compound: NbH2I8
Radiation: Cu Ka
Structure: a DFT-relaxed cell (PBE, Alexandria)
No peak broadening, texture or thermal motion is included.

```
NbH2I8
1.0
6.4693 0.0000 0.0000
-0.9518 9.5490 0.0000
-0.9166 -2.2432 9.2969
Nb H I
1 2 8
Cartesian
0.0000 0.0000 0.0000
1.4317 5.4873 8.5560
3.1752 0.2644 1.9447
-0.6915 5.7850 4.7377
0.5916 -1.5061 7.1395
0.6421 7.2351 0.3471
1.7066 1.3441 1.8894
2.8911 5.7996 7.5264
3.9130 8.6459 2.1581
4.0370 0.0243 9.1090
5.2920 4.0718 2.5710
```

Largest 10 diffraction maxima, low angle first, 10 to 90 degrees two-theta:
- 11.79 deg, rel. 100
- 13.86 deg, rel. 42
- 18.23 deg, rel. 28
- 22.24 deg, rel. 41
- 23.10 deg, rel. 79
- 24.49 deg, rel. 34
- 28.40 deg, rel. 64
- 29.03 deg, rel. 78
- 30.42 deg, rel. 49
- 33.33 deg, rel. 34

---

3.
Theoretical powder diffractogram
Compound: NbH2I6
Radiation: Cu Ka
Structure: a DFT-relaxed cell (PBE, Alexandria)
No peak broadening, texture or thermal motion is included.

```
NbH2I6
1.0
8.8969 -6.8039 0.0000
8.8969 6.8039 0.0000
-1.8950 0.0000 6.2906
Nb H I
2 4 12
Cartesian
8.4232 -6.8002 1.5727
7.4757 6.8002 4.7180
5.2034 0.2511 4.2702
6.1509 -0.2511 1.1249
9.7479 0.2511 5.1657
10.6954 -0.2511 2.0204
1.2211 0.9456 3.8023
6.0931 4.5429 6.0252
2.1686 -0.9456 0.6570
8.8583 4.5429 3.4108
5.5685 1.4014 3.1328
4.6210 -1.4014 6.2781
11.2779 1.4014 0.0125
10.3303 -1.4014 3.1578
7.0406 -4.5429 2.8799
13.7302 0.9456 5.6336
9.8058 -4.5429 0.2654
14.6777 -0.9456 2.4883
```

Largest 10 diffraction maxima, low angle first, 10 to 90 degrees two-theta:
- 10.38 deg, rel. 100
- 13.01 deg, rel. 48
- 20.86 deg, rel. 47
- 23.81 deg, rel. 69
- 25.62 deg, rel. 79
- 26.55 deg, rel. 56
- 26.73 deg, rel. 61
- 33.98 deg, rel. 41
- 38.97 deg, rel. 58
- 49.53 deg, rel. 39

---

4.
Theoretical powder diffractogram
Compound: NbTcHRuI
Radiation: Cu Ka
Structure: a DFT-relaxed cell (PBE, Alexandria)
No peak broadening, texture or thermal motion is included.

```
NbTcHRuI
1.0
4.0746 0.0000 0.0000
0.0000 3.4751 0.0000
-1.3110 0.0000 7.1761
Nb Tc H Ru I
1 1 1 1 1
Cartesian
0.0000 0.0000 0.0000
3.4385 1.7375 1.8495
0.2839 0.0000 2.7498
1.6654 0.0000 1.6966
2.9377 1.7375 4.8857
```

Largest 10 diffraction maxima, low angle first, 10 to 90 degrees two-theta:
- 12.33 deg, rel. 64
- 22.18 deg, rel. 72
- 24.81 deg, rel. 53
- 28.54 deg, rel. 65
- 34.15 deg, rel. 57
- 35.98 deg, rel. 31
- 40.10 deg, rel. 100
- 45.13 deg, rel. 65
- 45.25 deg, rel. 35
- 52.69 deg, rel. 33

---

5.
Theoretical powder diffractogram
Compound: NbTcHRuI
Radiation: Cu Ka
Structure: a DFT-relaxed cell (PBE, Alexandria)
No peak broadening, texture or thermal motion is included.

```
NbTcHRuI
1.0
3.2741 0.0000 0.0000
0.0000 3.1872 0.0000
-0.3119 0.0000 7.8054
Nb Tc H Ru I
1 1 1 1 1
Cartesian
0.0000 0.0000 0.0000
1.3821 1.5936 6.1642
0.3730 0.0000 5.9741
1.6345 1.5936 1.3624
1.6281 0.0000 3.7200
```

Largest 10 diffraction maxima, low angle first, 10 to 90 degrees two-theta:
- 27.26 deg, rel. 42
- 34.47 deg, rel. 21
- 36.40 deg, rel. 100
- 39.47 deg, rel. 19
- 40.88 deg, rel. 47
- 41.52 deg, rel. 40
- 43.57 deg, rel. 34
- 45.42 deg, rel. 43
- 56.24 deg, rel. 17
- 57.86 deg, rel. 17

---

6.
Theoretical powder diffractogram
Compound: NdH2I3
Radiation: Cu Ka
Structure: a DFT-relaxed cell (PBE, Alexandria)
No peak broadening, texture or thermal motion is included.

```
NdH2I3
1.0
8.2382 0.0000 0.0000
1.6797 8.4163 0.0000
0.7666 4.1264 7.6488
Nd H I
2 4 6
Cartesian
0.0000 0.0000 0.0000
5.7991 8.4146 0.0013
1.5615 7.8722 5.2834
5.5512 8.5283 4.9183
6.0924 8.0117 4.9854
9.2237 8.0054 4.8200
2.0616 2.2544 0.7650
2.8252 3.6643 5.3134
3.7387 6.6302 1.5710
6.1795 2.2416 0.7939
6.9438 3.6867 5.3110
7.8598 6.6087 1.5496
```

Largest 10 diffraction maxima, low angle first, 10 to 90 degrees two-theta:
- 11.57 deg, rel. 100
- 11.95 deg, rel. 84
- 12.06 deg, rel. 83
- 23.26 deg, rel. 26
- 26.92 deg, rel. 28
- 28.73 deg, rel. 25
- 29.73 deg, rel. 28
- 31.69 deg, rel. 38
- 32.11 deg, rel. 31
- 35.68 deg, rel. 33

---

7.
Theoretical powder diffractogram
Compound: NdH2I
Radiation: Cu Ka
Structure: a DFT-relaxed cell (PBE, Alexandria)
No peak broadening, texture or thermal motion is included.

```
NdH2I
1.0
3.9796 0.0000 0.0000
0.0000 6.2100 0.0000
0.0000 0.0000 5.7870
Nd H I
2 4 2
Cartesian
0.9949 1.5525 0.7405
2.9847 4.6575 5.0465
0.9949 3.4468 5.2671
0.9949 5.8681 5.2671
2.9847 0.3418 0.5199
2.9847 2.7631 0.5199
0.9949 4.6575 2.3321
2.9847 1.5525 3.4549
```

Largest 10 diffraction maxima, low angle first, 10 to 90 degrees two-theta:
- 27.20 deg, rel. 51
- 28.75 deg, rel. 52
- 30.84 deg, rel. 100
- 34.19 deg, rel. 64
- 39.99 deg, rel. 37
- 52.26 deg, rel. 23
- 54.51 deg, rel. 16
- 54.80 deg, rel. 17
- 58.20 deg, rel. 27
- 61.17 deg, rel. 16

---

8.
Theoretical powder diffractogram
Compound: NdHI3
Radiation: Cu Ka
Structure: a DFT-relaxed cell (PBE, Alexandria)
No peak broadening, texture or thermal motion is included.

```
NdHI3
1.0
8.3706 0.0000 0.0000
0.0000 8.3387 0.0000
-4.4112 0.0000 13.7954
Nd H I
4 4 12
Cartesian
-0.3680 2.0848 1.1519
6.5331 2.0848 5.7458
-2.5736 6.2539 8.0496
4.3275 6.2539 12.6435
-2.9475 1.9494 10.4526
-0.7419 6.3893 3.5549
4.7013 1.9494 10.2405
6.9069 6.3893 3.3428
1.9468 0.0796 0.5141
-0.3305 4.0762 7.6337
1.8751 4.2625 0.7360
-0.2588 8.2591 7.4118
0.8149 2.0861 4.0653
-1.3907 6.2526 10.9631
5.3501 2.0861 2.8324
3.1445 6.2526 9.7301
4.2183 0.0796 6.3837
2.0843 4.0762 13.0594
4.2899 4.2625 6.1617
2.0127 8.2591 13.2814
```

Largest 10 diffraction maxima, low angle first, 10 to 90 degrees two-theta:
- 11.10 deg, rel. 35
- 12.40 deg, rel. 100
- 12.83 deg, rel. 39
- 24.95 deg, rel. 33
- 27.34 deg, rel. 27
- 28.98 deg, rel. 29
- 30.89 deg, rel. 49
- 31.24 deg, rel. 26
- 36.34 deg, rel. 29
- 43.31 deg, rel. 34

---

9.
Theoretical powder diffractogram
Compound: NiH6I2
Radiation: Cu Ka
Structure: a DFT-relaxed cell (PBE, Alexandria)
No peak broadening, texture or thermal motion is included.

```
NiH6I2
1.0
3.3542 -8.2390 0.0000
3.3542 8.2390 0.0000
-0.1747 0.0000 3.6626
Ni H I
1 6 2
Cartesian
0.0000 0.0000 0.0000
2.9357 3.1002 3.3768
3.5980 3.1002 0.2858
2.8027 0.0000 3.6562
3.7310 0.0000 0.0064
2.9357 -3.1002 3.3768
3.5980 -3.1002 0.2858
3.2669 6.5535 1.8313
3.2669 -6.5535 1.8313
```

Largest 10 diffraction maxima, low angle first, 10 to 90 degrees two-theta:
- 10.74 deg, rel. 25
- 14.27 deg, rel. 100
- 26.61 deg, rel. 18
- 28.81 deg, rel. 10
- 30.22 deg, rel. 9
- 32.73 deg, rel. 20
- 38.73 deg, rel. 12
- 39.57 deg, rel. 11
- 40.77 deg, rel. 7
- 41.87 deg, rel. 8

---

10.
Theoretical powder diffractogram
Compound: NpH2I5
Radiation: Cu Ka
Structure: a DFT-relaxed cell (PBE, Alexandria)
No peak broadening, texture or thermal motion is included.

```
NpH2I5
1.0
1.9752 -8.4567 0.0000
1.9752 8.4567 0.0000
-1.2886 0.0000 15.9102
Np H I
2 4 10
Cartesian
1.0087 8.2012 11.9326
1.6530 -8.2012 3.9775
1.6407 0.0307 3.1150
0.9964 -0.0307 11.0701
1.6654 0.0307 4.8401
1.0211 -0.0307 12.7952
1.6569 6.5697 1.9845
0.3575 2.1562 6.5802
1.6492 6.5697 5.9706
1.6530 2.7575 3.9775
-0.2869 -2.1562 14.5353
2.9486 2.1562 1.3749
1.0087 -2.7575 11.9326
1.0126 -6.5697 9.9396
2.3043 -2.1562 9.3300
1.0049 -6.5697 13.9257
```

Largest 10 diffraction maxima, low angle first, 10 to 90 degrees two-theta:
- 10.46 deg, rel. 81
- 11.12 deg, rel. 97
- 23.19 deg, rel. 91
- 24.30 deg, rel. 56
- 24.97 deg, rel. 66
- 30.00 deg, rel. 65
- 30.57 deg, rel. 100
- 30.86 deg, rel. 87
- 33.78 deg, rel. 74
- 34.61 deg, rel. 96